No. 1
Starting from a crystal structure in Alexandria, relaxed with GGA-PBE, the X-ray diffraction stick pattern of Pu2BiO7 was calculated for Cu Kα X-rays.
Neutral-atom scattering factors, no anomalous dispersion.

Atomic structure:
Unit cell a=3.8369 b=3.8369 c=31.2798 alpha=90.00 beta=90.00 gamma=120.00
Space group R-3m (No. 166, hexagonal axes)
Asymmetric unit:
Pu 0.0000 0.0000 0.0658 [6 per cell]
Bi 0.0000 0.0000 0.5000 [3 per cell]
O 0.0000 0.0000 0.0000 [3 per cell]
O 0.0000 0.0000 0.1356 [6 per cell]
O 0.0000 0.0000 0.2811 [6 per cell]
O 0.0000 0.0000 0.4206 [6 per cell]

Main lines, sorted by position (2θ = 5–70°):
| (hkl) | 2θ/deg | d (Å) | I (rel.) |
| --- | --- | --- | --- |
| 0 0 9 | 25.6 | 3.476 | 520 |
| 0 1 2 | 27.4 | 3.250 | 1000 |
| 0 1 5 | 30.5 | 2.935 | 518 |
| 1 0 7 | 33.6 | 2.666 | 652 |
| 1 1 0 | 47.4 | 1.918 | 519 |
| 0 1 14 | 49.1 | 1.854 | 385 |
| 1 0 16 | 54.5 | 1.685 | 239 |
| 1 1 9 | 54.6 | 1.680 | 409 |

=====

No. 2
Starting from a crystal structure in Alexandria, relaxed with GGA-PBE, the X-ray diffraction stick pattern of PuBi2O7 was calculated for Cu Kα X-rays.
Neutral-atom scattering factors, no anomalous dispersion.

Atomic structure:
Unit cell a=12.387 b=8.996 c=8.015 alpha=90.00 beta=118.67 gamma=90.00
Space group C2/c (No. 15)
Asymmetric unit:
Pu 0.000 0.028 0.250 [4 per cell]
Bi 0.103 0.381 0.994 [8 per cell]
O 0.000 0.190 0.750 [4 per cell]
O 0.034 0.188 0.104 [8 per cell]
O 0.083 0.454 0.681 [8 per cell]
O 0.164 0.024 0.422 [8 per cell]

Main lines, sorted by position (2θ = 5–70°):
| (hkl) | 2θ/deg | d (Å) | I (rel.) |
| --- | --- | --- | --- |
| 2 0 0 | 16.3 | 5.434 | 914 |
| 1 1 -2 | 24.6 | 3.613 | 955 |
| 2 2 -1 | 24.9 | 3.571 | 1000 |
| 3 1 0 | 26.5 | 3.360 | 384 |
| 4 0 -2 | 30.4 | 2.937 | 383 |
| 1 1 2 | 31.9 | 2.808 | 436 |
| 5 1 0 | 42.8 | 2.113 | 357 |
| 0 4 2 | 48.0 | 1.895 | 419 |

=====

No. 3
Starting from a crystal structure in Alexandria, relaxed with GGA-PBE, the X-ray diffraction stick pattern of Pu2BiO2 was calculated for Cu Kα X-rays.
Neutral-atom scattering factors, no anomalous dispersion.

Atomic structure:
Unit cell a=7.016 b=10.287 c=11.052 alpha=90.00 beta=90.00 gamma=90.00
Space group Fddd (No. 70, origin choice 2)
Asymmetric unit:
Pu 0.125 0.301 0.125 [16 per cell]
Bi 0.125 0.125 0.625 [8 per cell]
O 0.125 0.125 0.255 [16 per cell]

Main lines, sorted by position (2θ = 5–70°):
| (hkl) | 2θ/deg | d (Å) | I (rel.) |
| --- | --- | --- | --- |
| 2 0 2 | 30.1 | 2.964 | 1000 |
| 0 0 4 | 32.4 | 2.763 | 197 |
| 1 3 3 | 38.1 | 2.363 | 301 |
| 3 3 1 | 47.8 | 1.903 | 140 |
| 1 3 5 | 50.8 | 1.796 | 131 |
| 3 3 3 | 53.6 | 1.711 | 114 |
| 0 6 2 | 56.2 | 1.637 | 86 |
| 2 0 6 | 56.4 | 1.631 | 96 |

=====

No. 4
Starting from a crystal structure in Alexandria, relaxed with GGA-PBE, the X-ray diffraction stick pattern of PuBiO6 was calculated for Cu Kα X-rays.
Neutral-atom scattering factors, no anomalous dispersion.

Atomic structure:
Unit cell a=5.027 b=5.027 c=8.165 alpha=90.00 beta=90.00 gamma=90.00
Space group P4_2/m (No. 84)
Asymmetric unit:
Pu 0.000 0.000 0.250 [2 per cell]
Bi 0.500 0.500 0.000 [2 per cell]
O 0.162 0.800 0.000 [4 per cell]
O 0.236 0.712 0.309 [8 per cell]

Main lines, sorted by position (2θ = 5–70°):
| (hkl) | 2θ/deg | d (Å) | I (rel.) |
| --- | --- | --- | --- |
| 1 1 0 | 25.1 | 3.554 | 741 |
| 1 0 2 | 28.2 | 3.169 | 1000 |
| 2 0 0 | 35.7 | 2.513 | 195 |
| 2 1 2 | 46.1 | 1.969 | 623 |
| 2 2 0 | 51.4 | 1.777 | 139 |
| 1 1 4 | 51.6 | 1.770 | 218 |
| 3 1 0 | 58.0 | 1.590 | 147 |
| 3 0 2 | 59.6 | 1.550 | 160 |